No. 1
Structure and computed powder X-ray diffraction pattern of SmHo2Er7 (a DFT-relaxed cell (GGA-PBE, Alexandria); a wavelength of 1.5418 Å).
No peak broadening, texture or thermal motion is included.

Peak list (6 most intense, 2θ from 5° to 70°, in order of rising 2θ)
31.05 deg, I = 87; 31.74 deg, I = 100; 33.30 deg, I = 46; 33.63 deg, I = 43; 48.06 deg, I = 32; 62.70 deg, I = 29

Crystal structure
```
data_SmHo2Er7
_chemical_formula_sum 'Sm2 Ho4 Er14'
_space_group_name_H-M_alt 'C 1 2/m 1'
_space_group_IT_number 12
_space_group_name_Hall '-C 2y'
_cell_length_a 8.800
_cell_length_b 16.547
_cell_length_c 5.381
_cell_angle_alpha 90.00
_cell_angle_beta 127.65
_cell_angle_gamma 90.00
loop_
_atom_site_label
_atom_site_type_symbol
_atom_site_fract_x
_atom_site_fract_y
_atom_site_fract_z
Sm1 Sm 0.000 0.000 0.000
Ho1 Ho 0.000 0.301 0.500
Er1 Er 0.000 0.200 0.000
Er2 Er 0.000 0.500 0.500
Er3 Er 0.248 0.390 0.248
```

No. 2
Structure and computed powder X-ray diffraction pattern of Sm7Ho3Er (a DFT-relaxed cell (GGA-PBE, Alexandria); a wavelength of 1.5418 Å).
No peak broadening, texture or thermal motion is included.

Peak list (6 most intense, 2θ from 5° to 70°, in order of rising 2θ)
31.49 deg, I = 100; 31.83 deg, I = 22; 31.96 deg, I = 35; 32.94 deg, I = 36; 45.73 deg, I = 16; 56.66 deg, I = 19

Crystal structure
```
data_Sm7Ho3Er
_chemical_formula_sum 'Sm7 Ho3 Er1'
_space_group_name_H-M_alt 'P 1 2/m 1'
_space_group_IT_number 10
_space_group_name_Hall '-P 2y'
_cell_length_a 7.045
_cell_length_b 5.601
_cell_length_c 9.972
_cell_angle_alpha 90.00
_cell_angle_beta 110.67
_cell_angle_gamma 90.00
loop_
_atom_site_label
_atom_site_type_symbol
_atom_site_fract_x
_atom_site_fract_y
_atom_site_fract_z
Sm1 Sm 0.000 0.000 0.000
Sm2 Sm 0.145 0.500 0.292
Sm3 Sm 0.321 0.500 0.640
Sm4 Sm 0.414 0.000 0.829
Ho1 Ho 0.000 0.000 0.500
Ho2 Ho 0.280 0.500 0.000
Er1 Er 0.500 0.000 0.500
```

No. 3
Structure and computed powder X-ray diffraction pattern of SmHoEr3 (a DFT-relaxed cell (GGA-PBE, Alexandria); a wavelength of 1.5418 Å).
No peak broadening, texture or thermal motion is included.

Peak list (6 most intense, 2θ from 5° to 70°, in order of rising 2θ)
31.01 deg, I = 100; 35.90 deg, I = 34; 36.07 deg, I = 17; 51.80 deg, I = 24; 61.47 deg, I = 18; 61.72 deg, I = 14

Crystal structure
```
data_SmHoEr3
_chemical_formula_sum 'Sm2 Ho2 Er6'
_space_group_name_H-M_alt 'P -1'
_space_group_IT_number 2
_space_group_name_Hall '-P 1'
_cell_length_a 3.541
_cell_length_b 9.350
_cell_length_c 9.962
_cell_angle_alpha 105.46
_cell_angle_beta 90.06
_cell_angle_gamma 100.87
loop_
_atom_site_label
_atom_site_type_symbol
_atom_site_fract_x
_atom_site_fract_y
_atom_site_fract_z
Sm1 Sm 0.000 0.000 0.250
Ho1 Ho 0.200 0.401 0.350
Er1 Er 0.200 0.401 0.850
Er2 Er 0.399 0.797 0.449
Er3 Er 0.399 0.797 0.950
```